This entry pairs a crystal structure of La5Mn6O18 with its calculated XRD peak list. Radiation: Cu Kα (weighted mean of Kα1 and Kα2). Structure: a crystal structure in the Materials Project, relaxed with PBE+U.

Structure:
a b c (Å): 7.8374 9.4868 11.0569
angles (deg): 73.00 89.99 66.30
Atoms (fractional coordinates):
La 0.0832 0.3286 0.4126
La 0.0913 0.3238 0.9225
La 0.2503 0.0002 0.7468
La 0.4093 0.6741 0.0834
La 0.4157 0.6735 0.5772
La 0.5843 0.3265 0.4228
La 0.5907 0.3259 0.9166
La 0.7497 0.9998 0.2532
La 0.9087 0.6762 0.0775
La 0.9168 0.6714 0.5874
Mn 0.0000 0.0000 0.0000
Mn 0.0000 0.0000 0.5000
Mn 0.1637 0.6694 0.8338
Mn 0.1662 0.6691 0.3332
Mn 0.3328 0.3306 0.1679
Mn 0.3377 0.3307 0.6688
Mn 0.5000 0.0000 0.0000
Mn 0.5000 0.0000 0.5000
Mn 0.6623 0.6693 0.3312
Mn 0.6672 0.6694 0.8321
Mn 0.8338 0.3309 0.6668
Mn 0.8363 0.3306 0.1662
O 0.0399 0.8402 0.4076
O 0.0714 0.3549 0.1840
O 0.0743 0.8424 0.9057
O 0.0815 0.3388 0.6924
O 0.1051 0.8052 0.1536
O 0.1227 0.8107 0.6572
O 0.2093 0.5188 0.5083
O 0.2171 0.5200 0.0109
O 0.2501 0.9996 0.9740
O 0.2495 0.0010 0.4893
O 0.2868 0.4787 0.2713
O 0.2879 0.4827 0.7671
O 0.3764 0.1900 0.5619
O 0.3964 0.1936 0.0579
O 0.4196 0.6610 0.8598
O 0.4259 0.1588 0.8273
O 0.4264 0.6466 0.3632
O 0.4602 0.1584 0.3282
O 0.5398 0.8416 0.6718
O 0.5736 0.3534 0.6368
O 0.5741 0.8412 0.1727
O 0.5804 0.3390 0.1402
O 0.6036 0.8064 0.9421
O 0.6236 0.8100 0.4381
O 0.7121 0.5173 0.2329
O 0.7132 0.5213 0.7287
O 0.7499 0.0004 0.0260
O 0.7505 0.9990 0.5107
O 0.7829 0.4800 0.9891
O 0.7907 0.4812 0.4917
O 0.8773 0.1893 0.3428
O 0.8949 0.1948 0.8464
O 0.9185 0.6612 0.3076
O 0.9257 0.1576 0.0943
O 0.9286 0.6451 0.8160
O 0.9601 0.1598 0.5924

Largest 8 diffraction maxima, low angle first, 5° ≤ 2θ ≤ 70°:
| 2theta | I_rel | (hkl) |
| --- | --- | --- |
| 32.26 | 66 | -2 1 2 |
| 32.39 | 33 | 0 1 4 |
| 32.59 | 100 | 2 3 2 |
| 39.90 | 24 | 2 2 4 |
| 46.34 | 23 | 4 2 0 |
| 46.64 | 44 | 0 4 4 |
| 57.68 | 28 | -2 2 6 |
| 57.82 | 20 | 2 4 6 |

This entry pairs a crystal structure of LaMnO3 with its calculated XRD peak list. Radiation: Cu Kα (weighted mean of Kα1 and Kα2). Structure: a crystal structure in the Materials Project, relaxed with PBE+U.

Structure:
a b c (Å): 5.5508 5.7142 3.9412
angles (deg): 90.00 90.00 90.00
Atoms (fractional coordinates):
La 0.0000 0.0000 0.0000
La 0.5000 0.5000 0.0000
Mn 0.0000 0.5000 0.5000
Mn 0.5000 0.0000 0.5000
O 0.0000 0.5000 0.0000
O 0.2046 0.1796 0.5000
O 0.2954 0.6796 0.5000
O 0.5000 0.0000 0.0000
O 0.7046 0.3204 0.5000
O 0.7954 0.8204 0.5000

Largest 8 diffraction maxima, low angle first, 5° ≤ 2θ ≤ 70°:
| 2theta | I_rel | (hkl) |
| --- | --- | --- |
| 22.33 | 18 | 1 1 0 |
| 31.31 | 32 | 0 2 0 |
| 31.95 | 100 | 1 1 1 |
| 32.25 | 27 | 2 0 0 |
| 45.57 | 31 | 2 2 0 |
| 56.13 | 23 | 1 3 1 |
| 57.33 | 32 | 3 1 1 |
| 66.80 | 18 | 2 2 2 |